(1)
Computed powder XRD pattern of Mg4InBi for Cu Ka, from a crystal structure in Alexandria, relaxed with GGA-PBE.
Peak positions follow from Bragg's law for the DFT cell and can differ from measured ones.

Atomic structure:
a = 5.688 Å, b = 9.518 Å, c = 5.666 Å
α = 90.00°, β = 104.53°, γ = 90.00°
Fractional coordinates of all 12 atoms:
Mg: 0.000 0.163 0.000
Mg: 0.000 0.331 0.500
Mg: 0.000 0.669 0.500
Mg: 0.000 0.837 0.000
Mg: 0.500 0.169 0.500
Mg: 0.500 0.337 0.000
Mg: 0.500 0.663 0.000
Mg: 0.500 0.831 0.500
In: 0.000 0.000 0.500
In: 0.500 0.500 0.500
Bi: 0.000 0.500 0.000
Bi: 0.500 0.000 0.000

Principal peaks in the range 5 to 70 degrees two-theta, by angle:
4.760 Å, rel. 87; 4.061 Å, rel. 100; 3.264 Å, rel. 59; 2.753 Å, rel. 53; 2.742 Å, rel. 47; 2.591 Å, rel. 80; 2.382 Å, rel. 42; 2.343 Å, rel. 60


(2)
Computed powder XRD pattern of Mg2In2Bi for Cu Ka, from a crystal structure in Alexandria, relaxed with GGA-PBE.
Peak positions follow from Bragg's law for the DFT cell and can differ from measured ones.

Atomic structure:
a = 4.539 Å, b = 5.458 Å, c = 6.105 Å
α = 77.52°, β = 70.06°, γ = 66.48°
Fractional coordinates of all 5 atoms:
Mg: 0.095 0.100 0.209
Mg: 0.905 0.900 0.791
In: 0.301 0.294 0.597
In: 0.699 0.706 0.403
Bi: 0.500 0.500 0.000

Principal peaks in the range 5 to 70 degrees two-theta, by angle:
4.983 Å, rel. 88; 3.989 Å, rel. 57; 3.876 Å, rel. 58; 2.778 Å, rel. 100; 2.718 Å, rel. 94; 2.684 Å, rel. 91; 2.624 Å, rel. 85; 2.584 Å, rel. 82


(3)
Computed powder XRD pattern of MgIn6Bi for Cu Ka, from a crystal structure in Alexandria, relaxed with GGA-PBE.
Peak positions follow from Bragg's law for the DFT cell and can differ from measured ones.

Atomic structure:
a = 5.281 Å, b = 6.928 Å, c = 7.346 Å
α = 110.57°, β = 91.23°, γ = 111.09°
Fractional coordinates of all 8 atoms:
Mg: 0.000 0.000 0.000
In: 0.140 0.290 0.484
In: 0.263 0.528 0.138
In: 0.381 0.763 0.824
In: 0.619 0.237 0.176
In: 0.737 0.472 0.862
In: 0.860 0.710 0.516
Bi: 0.500 0.000 0.500

Principal peaks in the range 5 to 70 degrees two-theta, by angle:
3.810 Å, rel. 60; 2.817 Å, rel. 100; 2.752 Å, rel. 94; 2.640 Å, rel. 95; 2.593 Å, rel. 80; 2.581 Å, rel. 80; 2.259 Å, rel. 49; 2.144 Å, rel. 39


(4)
Computed powder XRD pattern of Mg9InBi2 for Cu Ka, from a crystal structure in Alexandria, relaxed with GGA-PBE.
Peak positions follow from Bragg's law for the DFT cell and can differ from measured ones.

Atomic structure:
a = 4.537 Å, b = 4.537 Å, c = 13.943 Å
α = 90.00°, β = 90.00°, γ = 90.00°
Fractional coordinates of all 12 atoms:
Mg: 0.000 0.000 0.000
Mg: 0.000 0.000 0.330
Mg: 0.000 0.000 0.670
Mg: 0.000 0.500 0.158
Mg: 0.000 0.500 0.500
Mg: 0.000 0.500 0.842
Mg: 0.500 0.000 0.158
Mg: 0.500 0.000 0.500
Mg: 0.500 0.000 0.842
In: 0.500 0.500 0.000
Bi: 0.500 0.500 0.331
Bi: 0.500 0.500 0.669

Principal peaks in the range 5 to 70 degrees two-theta, by angle:
4.648 Å, rel. 36; 4.537 Å, rel. 67; 3.247 Å, rel. 60; 3.208 Å, rel. 29; 2.640 Å, rel. 100; 2.269 Å, rel. 33; 1.860 Å, rel. 26; 1.371 Å, rel. 26


(5)
Computed powder XRD pattern of Mg8In3Bi for Cu Ka, from a crystal structure in Alexandria, relaxed with GGA-PBE.
Peak positions follow from Bragg's law for the DFT cell and can differ from measured ones.

Atomic structure:
a = 6.836 Å, b = 6.836 Å, c = 8.436 Å
α = 113.46°, β = 113.46°, γ = 90.35°
Fractional coordinates of all 12 atoms:
Mg: 0.000 0.000 0.000
Mg: 0.178 0.178 0.779
Mg: 0.259 0.259 0.476
Mg: 0.271 0.732 0.501
Mg: 0.507 0.978 0.006
Mg: 0.732 0.271 0.501
Mg: 0.747 0.747 0.518
Mg: 0.978 0.507 0.006
In: 0.135 0.616 0.757
In: 0.381 0.381 0.218
In: 0.616 0.135 0.757
Bi: 0.882 0.882 0.272

Principal peaks in the range 5 to 70 degrees two-theta, by angle:
3.978 Å, rel. 100; 3.948 Å, rel. 32; 3.418 Å, rel. 26; 2.446 Å, rel. 38; 2.432 Å, rel. 34; 2.424 Å, rel. 18; 2.409 Å, rel. 17; 2.068 Å, rel. 22


(6)
Computed powder XRD pattern of Mg2In3Bi2 for Cu Ka, from a crystal structure in Alexandria, relaxed with GGA-PBE.
Peak positions follow from Bragg's law for the DFT cell and can differ from measured ones.

Atomic structure:
a = 11.221 Å, b = 4.792 Å, c = 7.186 Å
α = 90.00°, β = 92.36°, γ = 90.00°
Fractional coordinates of all 14 atoms:
Mg: 0.136 0.000 0.421
Mg: 0.364 0.500 0.579
Mg: 0.636 0.500 0.421
Mg: 0.864 0.000 0.579
In: 0.000 0.000 0.000
In: 0.202 0.500 0.147
In: 0.298 0.000 0.853
In: 0.500 0.500 0.000
In: 0.702 0.000 0.147
In: 0.798 0.500 0.853
Bi: 0.094 0.500 0.696
Bi: 0.406 0.000 0.304
Bi: 0.594 0.000 0.696
Bi: 0.906 0.500 0.304

Principal peaks in the range 5 to 70 degrees two-theta, by angle:
4.406 Å, rel. 17; 2.760 Å, rel. 100; 2.575 Å, rel. 20; 2.396 Å, rel. 20; 2.235 Å, rel. 12; 1.754 Å, rel. 12; 1.520 Å, rel. 12; 1.444 Å, rel. 14


(7)
Computed powder XRD pattern of Mg2In3Bi3 for Cu Ka, from a crystal structure in Alexandria, relaxed with GGA-PBE.
Peak positions follow from Bragg's law for the DFT cell and can differ from measured ones.

Atomic structure:
a = 9.936 Å, b = 16.659 Å, c = 5.570 Å
α = 90.00°, β = 90.00°, γ = 90.00°
Fractional coordinates of all 32 atoms:
Mg: 0.100 0.141 0.234
Mg: 0.100 0.359 0.234
Mg: 0.400 0.641 0.734
Mg: 0.400 0.859 0.734
Mg: 0.600 0.141 0.266
Mg: 0.600 0.359 0.266
Mg: 0.900 0.641 0.766
Mg: 0.900 0.859 0.766
In: 0.074 0.617 0.263
In: 0.074 0.883 0.263
In: 0.144 0.750 0.753
In: 0.356 0.250 0.253
In: 0.426 0.117 0.763
In: 0.426 0.383 0.763
In: 0.574 0.617 0.237
In: 0.574 0.883 0.237
In: 0.644 0.750 0.747
In: 0.856 0.250 0.247
In: 0.926 0.117 0.737
In: 0.926 0.383 0.737
Bi: 0.161 0.532 0.763
Bi: 0.161 0.968 0.763
Bi: 0.170 0.250 0.749
Bi: 0.330 0.750 0.249
Bi: 0.339 0.032 0.263
Bi: 0.339 0.468 0.263
Bi: 0.661 0.532 0.737
Bi: 0.661 0.968 0.737
Bi: 0.670 0.250 0.751
Bi: 0.830 0.750 0.251
Bi: 0.839 0.032 0.237
Bi: 0.839 0.468 0.237

Principal peaks in the range 5 to 70 degrees two-theta, by angle:
3.705 Å, rel. 56; 3.192 Å, rel. 20; 3.083 Å, rel. 18; 2.784 Å, rel. 44; 2.769 Å, rel. 100; 2.269 Å, rel. 32; 2.188 Å, rel. 21; 1.605 Å, rel. 18


(8)
Computed powder XRD pattern of Mg4In3Bi for Cu Ka, from a crystal structure in Alexandria, relaxed with GGA-PBE.
Peak positions follow from Bragg's law for the DFT cell and can differ from measured ones.

Atomic structure:
a = 10.547 Å, b = 6.892 Å, c = 5.417 Å
α = 90.00°, β = 90.00°, γ = 90.00°
Fractional coordinates of all 16 atoms:
Mg: 0.000 0.242 0.000
Mg: 0.000 0.758 0.000
Mg: 0.250 0.243 0.382
Mg: 0.250 0.757 0.382
Mg: 0.500 0.242 0.000
Mg: 0.500 0.758 0.000
Mg: 0.750 0.243 0.618
Mg: 0.750 0.757 0.618
In: 0.000 0.000 0.500
In: 0.250 0.000 0.887
In: 0.250 0.500 0.896
In: 0.500 0.000 0.500
In: 0.750 0.000 0.113
In: 0.750 0.500 0.104
Bi: 0.000 0.500 0.500
Bi: 0.500 0.500 0.500

Principal peaks in the range 5 to 70 degrees two-theta, by angle:
3.779 Å, rel. 68; 3.446 Å, rel. 32; 2.709 Å, rel. 15; 2.637 Å, rel. 34; 2.546 Å, rel. 100; 2.409 Å, rel. 13; 2.094 Å, rel. 17; 1.504 Å, rel. 19


(9)
Computed powder XRD pattern of Mg3In2Bi2 for Cu Ka, from a crystal structure in Alexandria, relaxed with GGA-PBE.
Peak positions follow from Bragg's law for the DFT cell and can differ from measured ones.

Atomic structure:
a = 4.749 Å, b = 5.023 Å, c = 8.855 Å
α = 105.95°, β = 105.12°, γ = 90.19°
Fractional coordinates of all 7 atoms:
Mg: 0.000 0.000 0.000
Mg: 0.250 0.251 0.507
Mg: 0.750 0.749 0.493
In: 0.109 0.607 0.216
In: 0.891 0.393 0.784
Bi: 0.372 0.863 0.738
Bi: 0.628 0.137 0.262

Principal peaks in the range 5 to 70 degrees two-theta, by angle:
4.096 Å, rel. 69; 3.451 Å, rel. 100; 2.651 Å, rel. 38; 2.642 Å, rel. 75; 2.623 Å, rel. 37; 2.512 Å, rel. 35; 2.374 Å, rel. 30; 2.048 Å, rel. 27


(10)
Computed powder XRD pattern of Mg3InBiPb for Cu Ka, from a crystal structure in Alexandria, relaxed with GGA-PBE.
Peak positions follow from Bragg's law for the DFT cell and can differ from measured ones.

Atomic structure:
a = 9.474 Å, b = 9.474 Å, c = 7.695 Å
α = 94.44°, β = 94.44°, γ = 28.46°
Fractional coordinates of all 12 atoms:
Mg: 0.028 0.028 0.302
Mg: 0.279 0.279 0.159
Mg: 0.349 0.349 0.756
Mg: 0.651 0.651 0.244
Mg: 0.721 0.721 0.841
Mg: 0.972 0.972 0.698
In: 0.429 0.429 0.386
In: 0.571 0.571 0.614
Bi: 0.121 0.121 0.981
Bi: 0.879 0.879 0.019
Pb: 0.188 0.188 0.535
Pb: 0.812 0.812 0.465

Principal peaks in the range 5 to 70 degrees two-theta, by angle:
5.661 Å, rel. 24; 3.835 Å, rel. 44; 3.702 Å, rel. 55; 2.731 Å, rel. 100; 2.641 Å, rel. 93; 2.413 Å, rel. 25; 2.329 Å, rel. 37; 2.243 Å, rel. 32


(11)
Computed powder XRD pattern of MgInSn2Bi for Cu Ka, from a crystal structure in Alexandria, relaxed with GGA-PBE.
Peak positions follow from Bragg's law for the DFT cell and can differ from measured ones.

Atomic structure:
a = 8.040 Å, b = 8.040 Å, c = 6.228 Å
α = 90.00°, β = 90.00°, γ = 133.21°
Fractional coordinates of all 10 atoms:
Mg: 0.143 0.857 0.750
Mg: 0.857 0.143 0.250
In: 0.338 0.662 0.750
In: 0.662 0.338 0.250
Sn: 0.258 0.258 0.000
Sn: 0.258 0.258 0.500
Sn: 0.742 0.742 0.000
Sn: 0.742 0.742 0.500
Bi: 0.197 0.803 0.250
Bi: 0.803 0.197 0.750

Principal peaks in the range 5 to 70 degrees two-theta, by angle:
4.759 Å, rel. 65; 3.174 Å, rel. 46; 2.930 Å, rel. 100; 2.869 Å, rel. 95; 2.460 Å, rel. 38; 2.251 Å, rel. 36; 2.229 Å, rel. 77; 1.652 Å, rel. 36


(12)
Computed powder XRD pattern of Mg7Tl2InBi2 for Cu Ka, from a crystal structure in Alexandria, relaxed with GGA-PBE.
Peak positions follow from Bragg's law for the DFT cell and can differ from measured ones.

Atomic structure:
a = 4.817 Å, b = 4.817 Å, c = 13.605 Å
α = 90.47°, β = 90.47°, γ = 90.14°
Fractional coordinates of all 12 atoms:
Mg: 0.000 0.000 0.000
Mg: 0.001 0.501 0.847
Mg: 0.257 0.257 0.499
Mg: 0.499 0.999 0.153
Mg: 0.501 0.001 0.847
Mg: 0.743 0.743 0.501
Mg: 0.999 0.499 0.153
Tl: 0.000 0.000 0.315
Tl: 0.000 0.000 0.685
In: 0.500 0.500 0.000
Bi: 0.500 0.500 0.308
Bi: 0.500 0.500 0.692

Principal peaks in the range 5 to 70 degrees two-theta, by angle:
6.802 Å, rel. 57; 4.535 Å, rel. 75; 3.407 Å, rel. 100; 2.736 Å, rel. 42; 2.725 Å, rel. 83; 2.706 Å, rel. 40; 2.409 Å, rel. 60; 2.135 Å, rel. 33


Copy entry 5 word for word.
Computed powder XRD pattern of Mg8In3Bi for Cu Ka, from a crystal structure in Alexandria, relaxed with GGA-PBE.
Peak positions follow from Bragg's law for the DFT cell and can differ from measured ones.

Atomic structure:
a = 6.836 Å, b = 6.836 Å, c = 8.436 Å
α = 113.46°, β = 113.46°, γ = 90.35°
Fractional coordinates of all 12 atoms:
Mg: 0.000 0.000 0.000
Mg: 0.178 0.178 0.779
Mg: 0.259 0.259 0.476
Mg: 0.271 0.732 0.501
Mg: 0.507 0.978 0.006
Mg: 0.732 0.271 0.501
Mg: 0.747 0.747 0.518
Mg: 0.978 0.507 0.006
In: 0.135 0.616 0.757
In: 0.381 0.381 0.218
In: 0.616 0.135 0.757
Bi: 0.882 0.882 0.272

Principal peaks in the range 5 to 70 degrees two-theta, by angle:
3.978 Å, rel. 100; 3.948 Å, rel. 32; 3.418 Å, rel. 26; 2.446 Å, rel. 38; 2.432 Å, rel. 34; 2.424 Å, rel. 18; 2.409 Å, rel. 17; 2.068 Å, rel. 22